Diffraction record for Li4CoP2O8. The powder XRD pattern is calculated, not measured: it uses the GGA+U geometry in Alexandria and Cu Kα.
Intensities are scaled so that the largest is 100.

Most intense lines, 2θ = 5–70°, sorted by position:
2θ/deg  I/Imax  (hkl)
14.0  46  1 1 0
20.4  30  0 2 1
21.8  84  1 2 -1
22.4  100  0 0 2
23.9  53  2 1 0
32.4  50  2 2 -2
34.2  26  2 3 0
34.4  40  0 4 0
35.8  50  2 0 2
60.4  24  2 6 -2

Cell and atoms:
Unit cell a=8.236 b=10.429 c=8.205 alpha=90.00 beta=104.79 gamma=90.00
Positions (direct):
1 Li 0.023 0.073 0.273
2 Li 0.023 0.427 0.773
3 Li 0.102 0.163 0.600
4 Li 0.102 0.337 0.100
5 Li 0.155 0.662 0.657
6 Li 0.155 0.838 0.157
7 Li 0.351 0.152 0.350
8 Li 0.351 0.348 0.850
9 Li 0.649 0.652 0.150
10 Li 0.649 0.848 0.650
11 Li 0.845 0.162 0.843
12 Li 0.845 0.338 0.343
13 Li 0.898 0.663 0.900
14 Li 0.898 0.837 0.400
15 Li 0.977 0.573 0.227
16 Li 0.977 0.927 0.727
17 Co 0.406 0.656 0.410
18 Co 0.406 0.844 0.910
19 Co 0.594 0.156 0.090
20 Co 0.594 0.344 0.590
21 P 0.210 0.092 0.975
22 P 0.210 0.408 0.475
23 P 0.267 0.594 0.035
24 P 0.267 0.906 0.535
25 P 0.733 0.094 0.465
26 P 0.733 0.406 0.965
27 P 0.790 0.592 0.525
28 P 0.790 0.908 0.025
29 O 0.062 0.100 0.814
30 O 0.062 0.400 0.314
31 O 0.117 0.655 0.089
32 O 0.117 0.845 0.589
33 O 0.161 0.151 0.129
34 O 0.161 0.349 0.629
35 O 0.226 0.047 0.478
36 O 0.226 0.453 0.978
37 O 0.256 0.552 0.511
38 O 0.256 0.948 0.011
39 O 0.303 0.671 0.884
40 O 0.303 0.829 0.384
41 O 0.362 0.168 0.942
42 O 0.362 0.332 0.442
43 O 0.428 0.605 0.185
44 O 0.428 0.895 0.685
45 O 0.572 0.105 0.315
46 O 0.572 0.395 0.815
47 O 0.638 0.668 0.558
48 O 0.638 0.832 0.058
49 O 0.697 0.171 0.616
50 O 0.697 0.329 0.116
51 O 0.744 0.052 0.989
52 O 0.744 0.448 0.489
53 O 0.774 0.547 0.022
54 O 0.774 0.953 0.522
55 O 0.839 0.651 0.371
56 O 0.839 0.849 0.871
57 O 0.883 0.155 0.411
58 O 0.883 0.345 0.911
59 O 0.938 0.600 0.686
60 O 0.938 0.900 0.186